For NdY10Er4, DFT lattice parameters and positions (GGA-PBE) gives the computed powder X-ray diffraction pattern in this record (a wavelength of 1.5418 Å).
No peak broadening, texture or thermal motion is included.

Main lines, in order of rising 2θ (2θ from 10° to 90°):
h k l  two_theta  d [Å]  I_rel
2 1 1  20.0  4.442  51
4 2 0  32.9  2.720  100
5 0 1  38.8  2.320  28
2 6 0  47.3  1.923  18
6 3 1  51.8  1.765  12
7 1 2  58.8  1.570  37

```
data_NdY10Er4
_space_group_name_H-M_alt 'I 4/m'
_space_group_IT_number 87
_space_group_name_Hall '-I 4'
_cell_length_a 12.170
_cell_length_b 12.170
_cell_length_c 7.687
_cell_angle_alpha 90.00
_cell_angle_beta 90.00
_cell_angle_gamma 90.00
loop_
_atom_site_label
_atom_site_type_symbol
_atom_site_fract_x
_atom_site_fract_y
_atom_site_fract_z
Nd1 Nd 0.000 0.000 0.000
Y1 Y 0.000 0.500 0.250
Y2 Y 0.101 0.799 0.252
Er1 Er 0.100 0.301 0.500
```

***

For Rb2SnBr7, DFT lattice parameters and positions (GGA-PBE) gives the computed powder X-ray diffraction pattern in this record (a wavelength of 1.5418 Å).
No peak broadening, texture or thermal motion is included.

Main lines, in order of rising 2θ (2θ from 10° to 90°):
h k l  two_theta  d [Å]  I_rel
2 0 2  26.5  3.359  79
2 2 0  30.1  2.973  100
0 0 4  32.0  2.793  45
4 0 0  43.0  2.102  34
2 2 4  44.5  2.036  66
4 0 4  54.6  1.680  33

```
data_Rb2SnBr7
_space_group_name_H-M_alt 'I 4/m m m'
_space_group_IT_number 139
_space_group_name_Hall '-I 4 2'
_cell_length_a 8.408
_cell_length_b 8.408
_cell_length_c 11.174
_cell_angle_alpha 90.00
_cell_angle_beta 90.00
_cell_angle_gamma 90.00
loop_
_atom_site_label
_atom_site_type_symbol
_atom_site_fract_x
_atom_site_fract_y
_atom_site_fract_z
Rb1 Rb 0.000 0.500 0.250
Sn1 Sn 0.000 0.000 0.000
Br1 Br 0.000 0.000 0.241
Br2 Br 0.000 0.000 0.500
Br3 Br 0.224 0.224 0.000
```

***

For Tb12Sm6Ho, DFT lattice parameters and positions (GGA-PBE) gives the computed powder X-ray diffraction pattern in this record (a wavelength of 1.5418 Å).
No peak broadening, texture or thermal motion is included.

Main lines, in order of rising 2θ (2θ from 10° to 90°):
h k l  two_theta  d [Å]  I_rel
0 1 5  30.7  2.911  43
0 3 3  31.3  2.858  26
4 -3 1  31.6  2.832  100
2 1 4  32.8  2.728  68
3 1 2  33.3  2.694  27
2 5 0  55.2  1.665  20

```
data_Tb12Sm6Ho
_space_group_name_H-M_alt 'R -3'
_space_group_IT_number 148
_space_group_name_Hall '-R 3'
_cell_length_a 12.0014
_cell_length_b 12.0014
_cell_length_c 15.1638
_cell_angle_alpha 90.00
_cell_angle_beta 90.00
_cell_angle_gamma 120.00
loop_
_atom_site_label
_atom_site_type_symbol
_atom_site_fract_x
_atom_site_fract_y
_atom_site_fract_z
Tb1 Tb 0.0120 0.1771 0.1908
Tb2 Tb 0.0442 0.1911 0.4158
Sm1 Sm 0.0110 0.5891 0.6810
Ho1 Ho 0.0000 0.0000 0.0000
```

***

For Sr3Cd11, DFT lattice parameters and positions (GGA-PBE) gives the computed powder X-ray diffraction pattern in this record (a wavelength of 1.5418 Å).
No peak broadening, texture or thermal motion is included.

Main lines, in order of rising 2θ (2θ from 10° to 90°):
h k l  two_theta  d [Å]  I_rel
0 2 4  29.8  3.002  29
1 2 3  31.0  2.887  100
1 3 0  31.9  2.808  52
1 3 2  34.1  2.626  49
2 0 0  36.3  2.473  100
1 3 4  40.3  2.238  43

```
data_Sr3Cd11
_space_group_name_H-M_alt 'I m m m'
_space_group_IT_number 71
_space_group_name_Hall '-I 2 2'
_cell_length_a 4.948
_cell_length_b 10.231
_cell_length_c 14.830
_cell_angle_alpha 90.00
_cell_angle_beta 90.00
_cell_angle_gamma 90.00
loop_
_atom_site_label
_atom_site_type_symbol
_atom_site_fract_x
_atom_site_fract_y
_atom_site_fract_z
Sr1 Sr 0.000 0.000 0.000
Sr2 Sr 0.000 0.000 0.298
Cd1 Cd 0.000 0.190 0.500
Cd2 Cd 0.000 0.287 0.135
Cd3 Cd 0.000 0.359 0.337
Cd4 Cd 0.000 0.500 0.000
```

***

For TbSm2Pb9, DFT lattice parameters and positions (GGA-PBE) gives the computed powder X-ray diffraction pattern in this record (a wavelength of 1.5418 Å).
No peak broadening, texture or thermal motion is included.

Main lines, in order of rising 2θ (2θ from 10° to 90°):
h k l  two_theta  d [Å]  I_rel
1 1 3  31.6  2.830  100
2 0 0  36.7  2.450  51
2 2 0  52.8  1.733  36
3 1 3  62.9  1.478  43
3 3 3  86.6  1.124  19
4 2 0  89.4  1.096  18

```
data_TbSm2Pb9
_space_group_name_H-M_alt 'P 4/m m m'
_space_group_IT_number 123
_space_group_name_Hall '-P 4 2'
_cell_length_a 4.901
_cell_length_b 4.901
_cell_length_c 14.702
_cell_angle_alpha 90.00
_cell_angle_beta 90.00
_cell_angle_gamma 90.00
loop_
_atom_site_label
_atom_site_type_symbol
_atom_site_fract_x
_atom_site_fract_y
_atom_site_fract_z
Tb1 Tb 0.000 0.000 0.000
Sm1 Sm 0.000 0.000 0.333
Pb1 Pb 0.000 0.500 0.165
Pb2 Pb 0.000 0.500 0.500
Pb3 Pb 0.500 0.500 0.000
Pb4 Pb 0.500 0.500 0.333
```

***

For MgUIn2O8, DFT lattice parameters and positions (GGA-PBE) gives the computed powder X-ray diffraction pattern in this record (a wavelength of 1.5418 Å).
No peak broadening, texture or thermal motion is included.

Main lines, in order of rising 2θ (2θ from 10° to 90°):
h k l  two_theta  d [Å]  I_rel
1 1 1  22.4  3.967  55
0 2 0  25.3  3.527  62
2 0 0  25.4  3.513  64
1 1 2  32.7  2.741  100
1 3 2  49.4  1.845  42
3 1 2  49.5  1.841  44

```
data_MgUIn2O8
_space_group_name_H-M_alt 'C m m m'
_space_group_IT_number 65
_space_group_name_Hall '-C 2 2'
_cell_length_a 7.026
_cell_length_b 7.053
_cell_length_c 6.569
_cell_angle_alpha 90.00
_cell_angle_beta 90.00
_cell_angle_gamma 90.00
loop_
_atom_site_label
_atom_site_type_symbol
_atom_site_fract_x
_atom_site_fract_y
_atom_site_fract_z
Mg1 Mg 0.000 0.000 0.000
U1 U 0.000 0.000 0.500
In1 In 0.000 0.500 0.247
O1 O 0.000 0.296 0.000
O2 O 0.000 0.300 0.500
O3 O 0.187 0.000 0.258
```

***

For La6NdSmTh2, DFT lattice parameters and positions (GGA-PBE) gives the computed powder X-ray diffraction pattern in this record (a wavelength of 1.5418 Å).
No peak broadening, texture or thermal motion is included.

Main lines, in order of rising 2θ (2θ from 10° to 90°):
h k l  two_theta  d [Å]  I_rel
1 3 2  28.3  3.153  100
3 1 -1  30.0  2.977  57
1 3 -3  30.8  2.902  79
2 4 -1  31.0  2.886  53
1 5 0  31.4  2.851  52
2 2 2  32.1  2.792  83

```
data_La6NdSmTh2
_space_group_name_H-M_alt 'C 1 2/c 1'
_space_group_IT_number 15
_space_group_name_Hall '-C 2yc'
_cell_length_a 9.115
_cell_length_b 15.067
_cell_length_c 10.773
_cell_angle_alpha 90.00
_cell_angle_beta 104.80
_cell_angle_gamma 90.00
loop_
_atom_site_label
_atom_site_type_symbol
_atom_site_fract_x
_atom_site_fract_y
_atom_site_fract_z
La1 La 0.077 0.182 0.457
La2 La 0.089 0.402 0.617
La3 La 0.212 0.224 0.832
Nd1 Nd 0.000 0.009 0.750
Sm1 Sm 0.000 0.401 0.250
Th1 Th 0.221 0.040 0.044
```

***

For Pm2Co2H, DFT lattice parameters and positions (GGA-PBE) gives the computed powder X-ray diffraction pattern in this record (a wavelength of 1.5418 Å).
No peak broadening, texture or thermal motion is included.

Main lines, in order of rising 2θ (2θ from 10° to 90°):
h k l  two_theta  d [Å]  I_rel
1 0 5  29.7  3.003  90
1 1 2  32.7  2.735  100
1 0 7  35.6  2.525  66
1 1 6  39.8  2.265  38
2 0 0  45.5  1.992  51
3 1 2  76.0  1.252  34

```
data_Pm2Co2H
_space_group_name_H-M_alt 'I 41/a m d'
_space_group_IT_number 141
_cell_length_a 3.984
_cell_length_b 3.984
_cell_length_c 22.848
_cell_angle_alpha 90.00
_cell_angle_beta 90.00
_cell_angle_gamma 90.00
loop_
_space_group_symop_operation_xyz
'x,y,z'
'-x,-y,-z'
'-y+1/4,x+3/4,z+1/4'
'y+1/4,-x+3/4,-z+1/4'
'-x+1/2,-y,z+1/2'
'x+1/2,y,-z+1/2'
'y+1/4,-x+1/4,z+3/4'
'-y+1/4,x+1/4,-z+3/4'
'x,-y,-z'
'-x,y,z'
'-y+1/4,-x+1/4,-z+3/4'
'y+1/4,x+1/4,z+3/4'
'-x+1/2,y,-z+1/2'
'x+1/2,-y,z+1/2'
'y+1/4,x+3/4,-z+1/4'
'-y+1/4,-x+3/4,z+1/4'
'x+1/2,y+1/2,z+1/2'
'-x+1/2,-y+1/2,-z+1/2'
'-y+3/4,x+1/4,z+3/4'
'y+3/4,-x+1/4,-z+3/4'
'-x,-y+1/2,z'
'x,y+1/2,-z'
'y+3/4,-x+3/4,z+1/4'
'-y+3/4,x+3/4,-z+1/4'
'x+1/2,-y+1/2,-z+1/2'
'-x+1/2,y+1/2,z+1/2'
'-y+3/4,-x+3/4,-z+1/4'
'y+3/4,x+3/4,z+1/4'
'-x,y+1/2,-z'
'x,-y+1/2,z'
'y+3/4,x+1/4,-z+3/4'
'-y+3/4,-x+1/4,z+3/4'
loop_
_atom_site_label
_atom_site_type_symbol
_atom_site_fract_x
_atom_site_fract_y
_atom_site_fract_z
Pm1 Pm 0.000 0.250 0.072
Co1 Co 0.000 0.250 0.229
H1 H 0.000 0.250 0.875
```

***

For Er4GaSiSe2, DFT lattice parameters and positions (GGA-PBE) gives the computed powder X-ray diffraction pattern in this record (a wavelength of 1.5418 Å).
No peak broadening, texture or thermal motion is included.

Main lines, in order of rising 2θ (2θ from 10° to 90°):
h k l  two_theta  d [Å]  I_rel
1 1 2  26.8  3.329  54
0 0 4  30.9  2.893  51
2 0 0  31.1  2.878  100
2 0 4  44.4  2.041  75
2 2 0  44.5  2.035  37
2 2 4  55.2  1.665  39

```
data_Er4GaSiSe2
_space_group_name_H-M_alt 'I -4 m 2'
_space_group_IT_number 119
_space_group_name_Hall 'I -4 -2'
_cell_length_a 5.757
_cell_length_b 5.757
_cell_length_c 11.573
_cell_angle_alpha 90.00
_cell_angle_beta 90.00
_cell_angle_gamma 90.00
loop_
_atom_site_label
_atom_site_type_symbol
_atom_site_fract_x
_atom_site_fract_y
_atom_site_fract_z
Er1 Er 0.000 0.000 0.247
Er2 Er 0.000 0.500 0.502
Ga1 Ga 0.000 0.500 0.250
Si1 Si 0.000 0.000 0.000
Se1 Se 0.000 0.000 0.500
Se2 Se 0.000 0.500 0.750
```

***

For Tb12Sc7In, DFT lattice parameters and positions (GGA-PBE) gives the computed powder X-ray diffraction pattern in this record (a wavelength of 1.5418 Å).
No peak broadening, texture or thermal motion is included.

Main lines, in order of rising 2θ (2θ from 10° to 90°):
h k l  two_theta  d [Å]  I_rel
0 2 1  17.3  5.133  35
4 0 1  32.1  2.792  100
4 -1 2  32.2  2.782  61
1 0 4  32.7  2.741  46
0 3 3  33.3  2.688  49
0 4 2  35.0  2.566  58

```
data_Tb12Sc7In
_space_group_name_H-M_alt 'R -3'
_space_group_IT_number 148
_space_group_name_Hall '-R 3'
_cell_length_a 13.3086
_cell_length_b 13.3086
_cell_length_c 11.2887
_cell_angle_alpha 90.00
_cell_angle_beta 90.00
_cell_angle_gamma 120.00
loop_
_atom_site_label
_atom_site_type_symbol
_atom_site_fract_x
_atom_site_fract_y
_atom_site_fract_z
Tb1 Tb 0.0050 0.2653 0.0031
Tb2 Tb 0.0690 0.1702 0.7512
Sc1 Sc 0.0000 0.0000 0.0000
Sc2 Sc 0.0628 0.5271 0.1218
In1 In 0.0000 0.0000 0.5000
```

***

For SmDy6Ho2, DFT lattice parameters and positions (GGA-PBE) gives the computed powder X-ray diffraction pattern in this record (a wavelength of 1.5418 Å).
No peak broadening, texture or thermal motion is included.

Main lines, in order of rising 2θ (2θ from 10° to 90°):
h k l  two_theta  d [Å]  I_rel
1 1 1  30.9  2.895  100
0 2 3  35.8  2.507  51
1 4 1  51.5  1.773  36
1 3 4  61.3  1.512  29
2 5 2  84.2  1.150  10
1 6 4  86.9  1.121  10

```
data_SmDy6Ho2
_space_group_name_H-M_alt 'P -1'
_space_group_IT_number 2
_space_group_name_Hall '-P 1'
_cell_length_a 3.549
_cell_length_b 8.679
_cell_length_c 9.380
_cell_angle_alpha 90.02
_cell_angle_beta 100.85
_cell_angle_gamma 90.07
loop_
_atom_site_label
_atom_site_type_symbol
_atom_site_fract_x
_atom_site_fract_y
_atom_site_fract_z
Sm1 Sm 0.000 0.000 0.000
Dy1 Dy 0.111 0.666 0.223
Dy2 Dy 0.222 0.334 0.444
Dy3 Dy 0.333 0.000 0.665
Ho1 Ho 0.444 0.665 0.889
```